Simulated powder diffraction line list of Sm2RuO5 for Cu Kα X-rays, from a DFT-relaxed cell (PBE, the Materials Project).

Largest 10 diffraction maxima, low angle first, 2θ = 5–70°:
d (Å)  intensity
7.779  166
3.611  123
3.154  1000
3.105  808
3.000  120
2.750  442
1.968  219
1.902  339
1.662  253
1.641  124

Structural model:
Unit cell a=10.539 b=3.936 c=11.530 alpha=90.00 beta=90.00 gamma=90.00
Space group Pnma (No. 62)
Unique sites:
Sm (0.104, 0.250, 0.231) (multiplicity 4)
Sm (0.133, 0.250, 0.565) (multiplicity 4)
Ru (0.187, 0.250, 0.883) (multiplicity 4)
O (0.010, 0.750, 0.597) (multiplicity 4)
O (0.029, 0.250, 0.803) (multiplicity 4)
O (0.221, 0.250, 0.046) (multiplicity 4)
O (0.229, 0.750, 0.228) (multiplicity 4)
O (0.237, 0.750, 0.886) (multiplicity 4)

***

Simulated powder diffraction line list of Sm2Ru2O7 for Cu Kα X-rays, from a DFT-relaxed cell (PBE, the Materials Project).

Largest 10 diffraction maxima, low angle first, 2θ = 5–70°:
d (Å)  intensity
5.980  27
3.123  11
2.990  1000
2.589  327
2.376  45
1.993  18
1.831  466
1.751  11
1.562  426
1.495  100

Structural model:
Unit cell a=10.358 b=10.358 c=10.358 alpha=90.00 beta=90.00 gamma=90.00
Space group Fd-3m (No. 227, origin choice 2)
Unique sites:
Sm (0.000, 0.000, 0.000) (multiplicity 16)
Ru (0.000, 0.000, 0.500) (multiplicity 16)
O (0.081, 0.375, 0.875) (multiplicity 48)
O (0.125, 0.125, 0.125) (multiplicity 8)

***

Simulated powder diffraction line list of Sn15Ru3O14 for Cu Kα X-rays, from a DFT-relaxed cell (PBE, the Materials Project).

Largest 10 diffraction maxima, low angle first, 2θ = 5–70°:
d (Å)  intensity
4.804  436
3.118  758
2.904  595
2.888  1000
2.717  537
2.700  941
1.816  745
1.803  635
1.800  319
1.569  376

Structural model:
Unit cell a=12.610 b=7.210 c=13.155 alpha=90.00 beta=108.58 gamma=90.00
Space group Cm (No. 8)
Unique sites:
Sn (0.000, 0.000, 0.000) (multiplicity 2)
Sn (0.007, 0.236, 0.266) (multiplicity 4)
Sn (0.041, 0.500, 0.052) (multiplicity 2)
Sn (0.086, 0.500, 0.758) (multiplicity 2)
Sn (0.114, 0.000, 0.797) (multiplicity 2)
Sn (0.194, 0.000, 0.518) (multiplicity 2)
Sn (0.250, 0.000, 0.258) (multiplicity 2)
Sn (0.268, 0.260, 0.016) (multiplicity 4)
Sn (0.279, 0.500, 0.290) (multiplicity 2)
Sn (0.345, 0.243, 0.752) (multiplicity 4)
Sn (0.435, 0.241, 0.524) (multiplicity 4)
Ru (0.296, 0.500, 0.872) (multiplicity 2)
Ru (0.387, 0.000, 0.143) (multiplicity 2)
Ru (0.483, 0.500, 0.409) (multiplicity 2)
O (0.008, 0.214, 0.712) (multiplicity 4)
O (0.022, 0.500, 0.589) (multiplicity 2)
O (0.057, 0.000, 0.169) (multiplicity 2)
O (0.089, 0.246, 0.995) (multiplicity 4)
O (0.184, 0.268, 0.294) (multiplicity 4)
O (0.220, 0.000, 0.703) (multiplicity 2)
O (0.223, 0.500, 0.120) (multiplicity 2)
O (0.300, 0.224, 0.584) (multiplicity 4)
O (0.324, 0.000, 0.429) (multiplicity 2)
O (0.441, 0.000, 0.807) (multiplicity 2)